1.
Simulated X-ray diffraction stick pattern of Li4Pu3InO12 for copper Kα, from the GGA-PBE geometry in Alexandria.

Principal peaks in the range 5° ≤ 2θ ≤ 70°, in order of rising 2θ:
2θ (°), d_spacing, I_rel, (hkl)
15.55, 5.700, 67, 1 1 0
21.11, 4.208, 100, 0 2 1
26.32, 3.386, 26, 2 1 1
28.62, 3.119, 54, 2 0 2
34.60, 2.592, 27, 1 3 1
39.82, 2.264, 39, 3 1 2

Atomic structure:
```
data_Li4Pu3InO12
_cell_length_a 11.4007
_cell_length_b 11.4007
_cell_length_c 8.0496
_cell_angle_alpha 90.00
_cell_angle_beta 90.00
_cell_angle_gamma 120.00
_space_group_name_H-M_alt 'R 3 2'
_space_group_IT_number 155
_space_group_name_Hall 'R 3 2"'
loop_
_atom_site_label
_atom_site_fract_x
_atom_site_fract_y
_atom_site_fract_z
Li1 0.0000 0.0000 0.0000
Li2 0.0000 0.4358 0.0000
Pu1 0.0000 0.5617 0.5000
In1 0.0000 0.0000 0.5000
O1 0.0000 0.6065 0.0000
O2 0.0000 0.8329 0.0000
O3 0.0683 0.2399 0.6943
```

2.
Simulated X-ray diffraction stick pattern of Nd5Cd2Ru for copper Kα, from the GGA-PBE geometry in Alexandria.

Principal peaks in the range 5° ≤ 2θ ≤ 70°, in order of rising 2θ:
2θ (°), d_spacing, I_rel, (hkl)
15.94, 5.561, 11, 1 1 0
32.19, 2.781, 100, 2 2 0
32.58, 2.749, 63, 0 4 0
46.74, 1.944, 23, 0 4 2
57.15, 1.612, 17, 4 0 0
57.89, 1.593, 37, 2 6 0

Atomic structure:
```
data_Nd5Cd2Ru
_cell_length_a 7.9589
_cell_length_b 10.9957
_cell_length_c 6.7835
_cell_angle_alpha 90.00
_cell_angle_beta 125.88
_cell_angle_gamma 90.00
_space_group_name_H-M_alt 'C 1 m 1'
_space_group_IT_number 8
loop_
_space_group_symop_operation_xyz
'x,y,z'
'x,-y,z'
'x+1/2,y+1/2,z'
'x+1/2,-y+1/2,z'
loop_
_atom_site_label
_atom_site_fract_x
_atom_site_fract_y
_atom_site_fract_z
Nd1 0.0000 0.0000 0.0000
Nd2 0.9997 0.0000 0.4943
Nd3 0.0057 0.5000 0.5076
Nd4 0.2532 0.2531 0.0018
Cd1 0.2587 0.2502 0.5020
Ru1 0.1537 0.5000 0.0013
```

3.
Simulated X-ray diffraction stick pattern of Sc3Zn7Ag2 for copper Kα, from the GGA-PBE geometry in Alexandria.

Principal peaks in the range 5° ≤ 2θ ≤ 70°, in order of rising 2θ:
2θ (°), d_spacing, I_rel, (hkl)
19.71, 4.504, 40, 1 0 1
33.95, 2.641, 22, 1 1 0
40.08, 2.249, 100, 1 1 6
42.09, 2.147, 26, 0 0 12
43.28, 2.090, 38, 2 0 5
64.91, 1.437, 23, 0 3 6

Atomic structure:
```
data_Sc3Zn7Ag2
_cell_length_a 5.2816
_cell_length_b 5.2816
_cell_length_c 25.7588
_cell_angle_alpha 90.00
_cell_angle_beta 90.00
_cell_angle_gamma 120.00
_space_group_name_H-M_alt 'R -3 m'
_space_group_IT_number 166
_space_group_name_Hall '-R 3 2"'
loop_
_atom_site_label
_atom_site_fract_x
_atom_site_fract_y
_atom_site_fract_z
Sc1 0.0000 0.0000 0.0000
Sc2 0.0000 0.0000 0.1435
Zn1 0.0000 0.0000 0.5000
Zn2 0.0079 0.5039 0.9129
Ag1 0.0000 0.0000 0.3349
```

4.
Simulated X-ray diffraction stick pattern of AlCdAu6 for copper Kα, from the GGA-PBE geometry in Alexandria.

Principal peaks in the range 5° ≤ 2θ ≤ 70°, in order of rising 2θ:
2θ (°), d_spacing, I_rel, (hkl)
23.17, 3.839, 11, 0 1 2
38.17, 2.358, 100, 1 1 0
38.83, 2.319, 84, 0 1 8
55.58, 1.653, 30, 2 0 8
69.00, 1.361, 18, 3 0 0
69.43, 1.354, 31, 1 2 8

Atomic structure:
```
data_AlCdAu6
_cell_length_a 4.7150
_cell_length_b 4.7150
_cell_length_c 22.5455
_cell_angle_alpha 90.00
_cell_angle_beta 90.00
_cell_angle_gamma 120.00
_space_group_name_H-M_alt 'R -3 m'
_space_group_IT_number 166
_space_group_name_Hall '-R 3 2"'
loop_
_atom_site_label
_atom_site_fract_x
_atom_site_fract_y
_atom_site_fract_z
Al1 0.0000 0.0000 0.0000
Cd1 0.0000 0.0000 0.5000
Au1 0.0000 0.0000 0.1161
Au2 0.0000 0.0000 0.2435
Au3 0.0000 0.0000 0.3686
```

5.
Simulated X-ray diffraction stick pattern of Pm2Ho3Er3 for copper Kα, from the GGA-PBE geometry in Alexandria.

Principal peaks in the range 5° ≤ 2θ ≤ 70°, in order of rising 2θ:
2θ (°), d_spacing, I_rel, (hkl)
30.88, 2.896, 100, 2 0 0
35.72, 2.514, 34, 2 4 -1
35.97, 2.496, 17, 0 0 2
51.60, 1.771, 24, 2 4 1
61.12, 1.516, 14, 4 4 -1
61.23, 1.514, 14, 2 8 0

Atomic structure:
```
data_Pm2Ho3Er3
_cell_length_a 7.1217
_cell_length_b 14.1988
_cell_length_c 6.1323
_cell_angle_alpha 90.00
_cell_angle_beta 125.49
_cell_angle_gamma 90.00
_space_group_name_H-M_alt 'C 1 2/m 1'
_space_group_IT_number 12
loop_
_space_group_symop_operation_xyz
'x,y,z'
'-x,-y,-z'
'-x,y,-z'
'x,-y,z'
'x+1/2,y+1/2,z'
'-x+1/2,-y+1/2,-z'
'-x+1/2,y+1/2,-z'
'x+1/2,-y+1/2,z'
loop_
_atom_site_label
_atom_site_fract_x
_atom_site_fract_y
_atom_site_fract_z
Pm1 0.0000 0.2500 0.0000
Ho1 0.0000 0.0000 0.0000
Ho2 0.0000 0.1232 0.5000
Er1 0.0000 0.3769 0.5000
Er2 0.0000 0.5000 0.0000
```

6.
Simulated X-ray diffraction stick pattern of LaSm2HgC for copper Kα, from the GGA-PBE geometry in Alexandria.

Principal peaks in the range 5° ≤ 2θ ≤ 70°, in order of rising 2θ:
2θ (°), d_spacing, I_rel, (hkl)
29.42, 3.036, 26, 2 1 1
30.50, 2.931, 100, 2 0 2
34.52, 2.599, 25, 0 0 4
35.78, 2.510, 29, 2 2 0
50.56, 1.805, 21, 2 2 4
59.36, 1.557, 15, 2 0 6

Atomic structure:
```
data_LaSm2HgC
_cell_length_a 7.0991
_cell_length_b 7.0991
_cell_length_c 10.3943
_cell_angle_alpha 90.00
_cell_angle_beta 90.00
_cell_angle_gamma 90.00
_space_group_name_H-M_alt 'I 4/m c m'
_space_group_IT_number 140
_space_group_name_Hall '-I 4 2c'
loop_
_atom_site_label
_atom_site_fract_x
_atom_site_fract_y
_atom_site_fract_z
La1 0.0000 0.0000 0.2500
Sm1 0.1917 0.3083 0.0000
Hg1 0.0000 0.5000 0.2500
C1 0.0000 0.0000 0.0000
```